CeNpCr2O8: simulated XRD peak list (Cu Kα (λ = 1.5418 Å)), based on a structure optimized by DFT (GGA+U).
Peak positions follow from Bragg's law for the DFT cell and can differ from measured ones.

Most intense lines, 2θ from 15° to 90°, sorted by position:
| 2theta | I (rel.) |
| --- | --- |
| 18.66 | 642 |
| 26.24 | 156 |
| 26.43 | 572 |
| 26.57 | 542 |
| 32.39 | 1000 |
| 37.69 | 259 |
| 37.83 | 255 |
| 42.41 | 151 |
| 50.56 | 405 |
| 50.72 | 377 |
| 61.13 | 206 |
| 64.91 | 227 |

Structure:
abc: 6.7085 6.7436 6.7934
angles: 90.00 90.00 90.00
Space group Cmmm (No. 65)
Inequivalent atoms, fractional coordinates:
Ce1 0.0000 0.0000 0.0000 [2 per cell]
Np1 0.0000 0.0000 0.5000 [2 per cell]
Cr1 0.0000 0.5000 0.2491 [4 per cell]
O1 0.0000 0.3091 0.5000 [4 per cell]
O2 0.0000 0.3216 0.0000 [4 per cell]
O3 0.2015 0.0000 0.2694 [8 per cell]